# 1
Theoretical powder diffractogram
Compound: HoTmZn2Sn2
Radiation: Cu Kα (λ = 1.5418 Å)
Structure: a PBE-relaxed structure
Lines closer than 0.1° are merged.

Cell and atoms:
Cell lengths 4.4890, 4.4890, 15.6357 Å; angles 90.00, 90.00, 120.00 degrees
Space group P6_3/mmc (No. 194)
Asymmetric unit:
Ho 0.0000 0.0000 0.2500
Tm 0.0000 0.0000 0.0000
Zn 0.3333 0.6667 0.1606
Sn 0.3333 0.6667 0.6120

Principal peaks in the range 2θ from 10° to 80°, in order of falling intensity:
| 2theta | Rel. int. |
| --- | --- |
| 32.48 | 100.0 |
| 40.18 | 60.1 |
| 52.58 | 25.9 |
| 68.18 | 23.9 |
| 28.65 | 15.8 |
| 63.07 | 15.5 |
| 46.91 | 12.9 |
| 73.01 | 10.5 |
| 22.88 | 9.5 |
| 52.40 | 6.7 |
| 46.46 | 6.3 |
| 77.81 | 6.0 |

# 2
Theoretical powder diffractogram
Compound: LiCdPS2O2
Radiation: Cu Kα (λ = 1.5418 Å)
Structure: a PBE-relaxed structure
Lines closer than 0.1° are merged.

Cell and atoms:
Cell lengths 7.3870, 8.4508, 5.4003 Å; angles 90.00, 132.67, 90.00 degrees
Space group C2 (No. 5)
Asymmetric unit:
Li 0.0000 0.0000 0.0000
Cd 0.0000 0.5458 0.0000
P 0.0000 0.8311 0.5000
S 0.2466 0.2033 0.4623
O 0.1507 0.9303 0.8278

Principal peaks in the range 2θ from 10° to 80°, in order of falling intensity:
| 2theta | Rel. int. |
| --- | --- |
| 19.54 | 100.0 |
| 30.90 | 64.1 |
| 19.43 | 54.8 |
| 32.19 | 40.3 |
| 35.93 | 36.7 |
| 39.69 | 33.0 |
| 24.10 | 25.3 |
| 37.73 | 22.9 |
| 39.44 | 16.6 |
| 55.07 | 13.9 |
| 55.26 | 13.6 |
| 49.35 | 13.3 |

# 3
Theoretical powder diffractogram
Compound: Ag
Radiation: Cu Kα (λ = 1.5418 Å)
Structure: a PBE-relaxed structure
Lines closer than 0.1° are merged.

Cell and atoms:
Cell lengths 2.8249, 3.0115, 4.0787 Å; angles 90.00, 90.00, 90.00 degrees
Space group Immm (No. 71)
Asymmetric unit:
Ag 0.0000 0.0000 0.0000

Principal peaks in the range 2θ from 10° to 80°, in order of falling intensity:
| 2theta | Rel. int. |
| --- | --- |
| 37.11 | 100.0 |
| 38.78 | 88.2 |
| 43.95 | 60.9 |
| 64.27 | 37.0 |
| 44.42 | 29.5 |
| 75.21 | 23.1 |
| 78.36 | 20.7 |
| 76.94 | 10.9 |
| 61.59 | 10.6 |
| 77.99 | 10.5 |
| 79.05 | 10.1 |
| 66.16 | 8.4 |